# 1
For Hf6Fe3N, a DFT-relaxed cell (PBE, Alexandria) gives the simulated powder X-ray diffraction pattern in this record (λ = 1.5418 Å (Cu Kα)).
Peak positions follow from Bragg's law for the DFT cell and can differ from measured ones.

```
Hf6Fe3N
1.0
5.8070 0.0000 0.0000
0.0000 6.6418 0.0000
-5.0266 0.0000 8.7269
Hf Fe N
12 6 2
Direct
0.0838 0.0435 0.2415
0.0838 0.4565 0.7415
0.2081 0.6888 0.0680
0.2081 0.8112 0.5680
0.3833 0.1590 0.0594
0.3833 0.3410 0.5594
0.6167 0.6590 0.4406
0.6167 0.8410 0.9406
0.7919 0.1888 0.4320
0.7919 0.3112 0.9320
0.9162 0.5435 0.2585
0.9162 0.9565 0.7585
0.3193 0.1197 0.7582
0.3193 0.3803 0.2582
0.5000 0.0000 0.5000
0.5000 0.5000 0.0000
0.6807 0.6197 0.7418
0.6807 0.8803 0.2418
0.0000 0.0000 0.0000
0.0000 0.5000 0.5000
```

Most intense lines, 2θ from 10° to 80°, sorted by position:
33.21°, rel. 100; 33.81°, rel. 54; 33.92°, rel. 39; 35.76°, rel. 36; 36.20°, rel. 49; 36.62°, rel. 41; 38.22°, rel. 48; 38.33°, rel. 28; 41.26°, rel. 25; 43.78°, rel. 30

***

# 2
For Zr, a DFT-relaxed cell (PBE, Alexandria) gives the simulated powder X-ray diffraction pattern in this record (λ = 1.5418 Å (Cu Kα)).
Peak positions follow from Bragg's law for the DFT cell and can differ from measured ones.

```
Zr
1.0
5.4573 0.0000 0.0000
0.0000 8.3098 0.0000
0.0000 0.0000 6.2096
Zr
12
Direct
0.0000 0.0000 0.2500
0.0000 0.0000 0.7500
0.0785 0.3233 0.0000
0.0785 0.6767 0.5000
0.4215 0.1767 0.5000
0.4215 0.8233 0.0000
0.5000 0.5000 0.2500
0.5000 0.5000 0.7500
0.5785 0.1767 0.0000
0.5785 0.8233 0.5000
0.9215 0.3233 0.5000
0.9215 0.6767 0.0000
```

Most intense lines, 2θ from 10° to 80°, sorted by position:
30.64°, rel. 24; 32.82°, rel. 39; 34.96°, rel. 95; 36.11°, rel. 67; 36.37°, rel. 100; 37.60°, rel. 55; 49.59°, rel. 30; 57.24°, rel. 18; 66.01°, rel. 28; 71.80°, rel. 35